No. 1
Diffraction record for Pr2P2Ru2N. The powder diffraction line list is simulated, not measured: it uses the GGA-PBE geometry in Alexandria and Cu Kα.
Peak positions follow from Bragg's law for the DFT cell and can differ from measured ones.

Structural model:
```
14
Lattice="11.3899 0.0000 0.0000 0.0000 3.9278 0.0000 -4.0351 0.0000 5.5719" Properties=species:S:1:pos:R:3 pbc="T T T"
Pr -0.5062 0.0000 1.6852
Pr 2.1660 1.9639 3.8867
Pr 5.1887 1.9639 1.6852
Pr 7.8610 0.0000 3.8867
P -0.8316 1.9639 4.0085
P 2.4915 0.0000 1.5635
P 4.8633 0.0000 4.0085
P 8.1864 1.9639 1.5635
Ru 1.9283 1.9639 0.4619
Ru -0.2685 0.0000 5.1101
Ru 7.6232 0.0000 0.4619
Ru 5.4265 1.9639 5.1101
N 0.0000 1.9639 0.0000
N 5.6949 0.0000 0.0000
```

Main lines, sorted by position (2θ = 10–90°):
- 31.62 deg, I 44
- 32.14 deg, I 31
- 32.82 deg, I 100
- 35.89 deg, I 97
- 37.13 deg, I 39
- 46.23 deg, I 34

No. 2
Diffraction record for TbSm2Se2O2. The powder diffraction line list is simulated, not measured: it uses the GGA-PBE geometry in Alexandria and Cu Kα.
Peak positions follow from Bragg's law for the DFT cell and can differ from measured ones.

Structural model:
```
14
Lattice="4.3296 0.0000 0.0000 0.0000 4.3296 0.0000 0.0000 0.0000 15.4719" Properties=species:S:1:pos:R:3 pbc="T T T"
Tb 0.0000 0.0000 0.0000
Tb 2.1648 2.1648 7.7359
Sm 0.0000 0.0000 5.7702
Sm 0.0000 0.0000 9.7017
Sm 2.1648 2.1648 1.9657
Sm 2.1648 2.1648 13.5062
Se 0.0000 0.0000 2.8174
Se 0.0000 0.0000 12.6545
Se 2.1648 2.1648 4.9185
Se 2.1648 2.1648 10.5533
O 0.0000 2.1648 0.0000
O 0.0000 2.1648 7.7359
O 2.1648 0.0000 0.0000
O 2.1648 0.0000 7.7359
```

Main lines, sorted by position (2θ = 10–90°):
- 26.89 deg, I 36
- 29.17 deg, I 100
- 35.66 deg, I 83
- 41.72 deg, I 47
- 56.03 deg, I 45
- 68.54 deg, I 18

No. 3
Diffraction record for CaPr2HoSe5. The powder diffraction line list is simulated, not measured: it uses the GGA-PBE geometry in Alexandria and Cu Kα.
Peak positions follow from Bragg's law for the DFT cell and can differ from measured ones.

Structural model:
```
9
Lattice="5.1220 0.0000 0.0000 0.0000 5.1220 0.0000 0.0000 0.0000 10.7759" Properties=species:S:1:pos:R:3 pbc="T T T"
Ca 0.0000 0.0000 0.0000
Pr 2.5610 2.5610 3.1677
Pr 2.5610 2.5610 7.6082
Ho 0.0000 0.0000 5.3879
Se 0.0000 0.0000 2.6532
Se 0.0000 0.0000 8.1226
Se 0.0000 2.5610 5.3879
Se 2.5610 0.0000 5.3879
Se 2.5610 2.5610 0.0000
```

Main lines, sorted by position (2θ = 10–90°):
- 24.58 deg, I 100
- 30.39 deg, I 63
- 33.26 deg, I 38
- 35.04 deg, I 97
- 47.05 deg, I 38
- 49.08 deg, I 50

No. 4
Diffraction record for Th4TlRe. The powder diffraction line list is simulated, not measured: it uses the GGA-PBE geometry in Alexandria and Cu Kα.
Peak positions follow from Bragg's law for the DFT cell and can differ from measured ones.

Structural model:
```
12
Lattice="4.4516 -6.7109 0.0000 4.4516 6.7109 0.0000 -2.1025 0.0000 5.8643" Properties=species:S:1:pos:R:3 pbc="T T T"
Th 1.4599 4.3122 5.4905
Th 1.1346 1.1463 3.7644
Th 4.2895 4.3122 3.3059
Th 2.1858 -1.1463 0.8323
Th 4.6148 1.1463 5.0320
Th 2.5111 -4.3122 2.5584
Th 5.6661 -1.1463 2.0999
Th 5.3407 -4.3122 0.3738
Tl 3.9259 1.5444 1.4661
Tl 2.8747 -1.5444 4.3982
Re 3.9259 6.6801 1.4661
Re 2.8747 -6.6801 4.3982
```

Main lines, sorted by position (2θ = 10–90°):
- 29.21 deg, I 35
- 29.44 deg, I 44
- 31.18 deg, I 72
- 33.00 deg, I 92
- 34.43 deg, I 37
- 35.10 deg, I 100

No. 5
Diffraction record for Sm3Dy3Er4. The powder diffraction line list is simulated, not measured: it uses the GGA-PBE geometry in Alexandria and Cu Kα.
Peak positions follow from Bragg's law for the DFT cell and can differ from measured ones.

Structural model:
```
10
Lattice="3.6614 0.0000 0.0000 0.0000 6.6321 6.6484 0.0000 -6.6321 6.6484" Properties=species:S:1:pos:R:3 pbc="T T T"
Sm 0.0000 0.0000 0.0000
Sm 0.0000 -2.3092 8.9493
Sm 0.0000 2.3092 8.9493
Dy 0.0000 0.0000 4.6204
Dy 1.8307 -3.2874 5.6167
Dy 1.8307 3.2874 5.6167
Er 1.8307 -1.6470 2.3262
Er 1.8307 1.6470 2.3262
Er 1.8307 0.0000 7.2878
Er 1.8307 0.0000 10.6115
```

Main lines, sorted by position (2θ = 10–90°):
- 30.09 deg, I 63
- 30.97 deg, I 31
- 32.44 deg, I 100
- 55.88 deg, I 19
- 58.64 deg, I 15
- 59.30 deg, I 19

No. 6
Diffraction record for K3Tm2USe6. The powder diffraction line list is simulated, not measured: it uses the GGA-PBE geometry in Alexandria and Cu Kα.
Peak positions follow from Bragg's law for the DFT cell and can differ from measured ones.

Structural model:
```
12
Lattice="3.6389 -6.3021 0.0000 3.6389 6.3021 0.0000 -2.4284 0.0000 7.6975" Properties=species:S:1:pos:R:3 pbc="T T T"
K 0.0000 0.0000 0.0000
K 3.6389 2.0921 0.0000
K 3.6389 -2.0921 0.0000
Tm 2.4247 4.2011 3.8487
Tm 2.4247 -4.2011 3.8487
U 2.4247 0.0000 3.8487
Se 1.1863 2.1456 2.2707
Se -0.0538 0.0000 5.4276
Se 1.1863 -2.1456 2.2707
Se 3.6631 2.1456 5.4268
Se 4.9033 0.0000 2.2699
Se 3.6631 -2.1456 5.4268
```

Main lines, sorted by position (2θ = 10–90°):
- 11.50 deg, I 70
- 29.01 deg, I 100
- 36.77 deg, I 22
- 39.86 deg, I 35
- 43.06 deg, I 36
- 76.76 deg, I 19

No. 7
Diffraction record for Re3Tc4Os. The powder diffraction line list is simulated, not measured: it uses the GGA-PBE geometry in Alexandria and Cu Kα.
Peak positions follow from Bragg's law for the DFT cell and can differ from measured ones.

Structural model:
```
16
Lattice="9.2734 0.0000 0.0000 0.0000 4.7805 0.0000 -1.6539 0.0000 5.2906" Properties=species:S:1:pos:R:3 pbc="T T T"
Re 0.0000 0.0000 0.0000
Re 0.8628 4.0001 4.6236
Re 2.1200 1.6098 0.6669
Re 4.6367 2.3902 0.0000
Re 5.4995 1.6098 4.6236
Re 6.7567 4.0001 0.6669
Tc -1.2262 2.3871 3.9636
Tc 1.6884 3.9799 1.9830
Tc 1.2945 1.5897 3.3075
Tc 4.2090 4.7774 1.3269
Tc 3.4105 4.7774 3.9636
Tc 6.3250 1.5897 1.9830
Tc 5.9312 3.9799 3.3075
Tc 8.8457 2.3871 1.3269
Os -0.8269 0.0091 2.6453
Os 3.8098 2.3993 2.6453
```

Main lines, sorted by position (2θ = 10–90°):
- 37.51 deg, I 24
- 40.78 deg, I 38
- 42.90 deg, I 100
- 43.01 deg, I 49
- 67.84 deg, I 17
- 75.72 deg, I 28

No. 8
Diffraction record for Tl4NiCl6. The powder diffraction line list is simulated, not measured: it uses the GGA-PBE geometry in Alexandria and Cu Kα.
Peak positions follow from Bragg's law for the DFT cell and can differ from measured ones.

Structural model:
```
22
Lattice="8.4852 0.0000 0.0000 0.0000 8.4852 0.0000 0.0000 0.0000 9.2094" Properties=species:S:1:pos:R:3 pbc="T T T"
Tl 1.3302 2.9124 2.3023
Tl 1.3302 2.9124 6.9070
Tl 2.9124 7.1550 2.3023
Tl 2.9124 7.1550 6.9070
Tl 5.5728 1.3302 2.3023
Tl 5.5728 1.3302 6.9070
Tl 7.1550 5.5728 2.3023
Tl 7.1550 5.5728 6.9070
Ni 0.0000 0.0000 0.0000
Ni 4.2426 4.2426 4.6047
Cl 0.0000 0.0000 2.4107
Cl 0.0000 0.0000 6.7987
Cl 1.0212 6.2251 0.0000
Cl 1.9825 5.2638 4.6047
Cl 2.2601 1.0212 0.0000
Cl 3.2214 1.9825 4.6047
Cl 4.2426 4.2426 2.1940
Cl 4.2426 4.2426 7.0153
Cl 5.2638 6.5027 4.6047
Cl 6.2251 7.4640 0.0000
Cl 6.5027 3.2214 4.6047
Cl 7.4640 2.2601 0.0000
```

Main lines, sorted by position (2θ = 10–90°):
- 19.28 deg, I 33
- 23.44 deg, I 55
- 30.53 deg, I 100
- 33.39 deg, I 29
- 38.84 deg, I 19
- 46.11 deg, I 20

No. 9
Diffraction record for PmYMo4. The powder diffraction line list is simulated, not measured: it uses the GGA-PBE geometry in Alexandria and Cu Kα.
Peak positions follow from Bragg's law for the DFT cell and can differ from measured ones.

Structural model:
```
6
Lattice="0.0000 3.9253 3.9253 3.9253 0.0000 3.9253 3.9253 3.9253 0.0000" Properties=species:S:1:pos:R:3 pbc="T T T"
Pm 0.0000 0.0000 0.0000
Y 1.9627 1.9627 1.9627
Mo 4.9088 2.9419 2.9419
Mo 2.9419 4.9088 2.9419
Mo 2.9419 2.9419 4.9088
Mo 4.9088 4.9088 4.9088
```

Main lines, sorted by position (2θ = 10–90°):
- 32.25 deg, I 33
- 38.01 deg, I 100
- 39.77 deg, I 34
- 61.36 deg, I 32
- 67.49 deg, I 26
- 81.29 deg, I 13

No. 10
Diffraction record for Ti3V3Si5. The powder diffraction line list is simulated, not measured: it uses the GGA-PBE geometry in Alexandria and Cu Kα.
Peak positions follow from Bragg's law for the DFT cell and can differ from measured ones.

Structural model:
```
22
Lattice="-2.5493 4.0145 7.7712 2.5493 -4.0145 7.7712 2.5493 4.0145 -7.7712" Properties=species:S:1:pos:R:3 pbc="T T T"
Ti 1.2746 2.0073 -3.8856
Ti 1.2746 -2.0073 3.8856
Ti 0.0000 0.0000 2.3186
Ti -1.2746 2.0073 3.8856
Ti 1.2746 2.0073 3.8856
Ti 0.0000 0.0000 13.2237
V 2.5493 1.7692 -1.2971
V 2.5493 1.7692 1.2971
V 1.3066 4.0145 0.0000
V 1.2427 0.0000 7.7712
V 0.0000 2.2453 6.4740
V 0.0000 2.2453 9.0683
Si 1.2214 0.0000 0.0000
Si 3.8771 0.0000 0.0000
Si 2.5493 0.0000 3.0750
Si 2.5493 -1.5178 6.1908
Si 0.0000 0.0000 5.3299
Si 0.0000 2.4967 1.5804
Si 2.5493 1.5178 6.1908
Si 0.0000 0.0000 10.2124
Si 0.0000 5.5323 1.5804
Si 0.0000 4.0145 4.6961
```

Main lines, sorted by position (2θ = 10–90°):
- 37.97 deg, I 23
- 41.49 deg, I 100
- 42.41 deg, I 70
- 43.64 deg, I 96
- 45.17 deg, I 34
- 63.68 deg, I 31

No. 11
Diffraction record for SmOsPb2O8. The powder diffraction line list is simulated, not measured: it uses the GGA-PBE geometry in Alexandria and Cu Kα.
Peak positions follow from Bragg's law for the DFT cell and can differ from measured ones.

Structural model:
```
12
Lattice="5.1632 0.0000 0.0000 0.0000 6.8253 0.0000 -0.0810 0.0000 5.1706" Properties=species:S:1:pos:R:3 pbc="T T T"
Sm 0.0000 0.0000 0.0000
Os 0.0000 3.4126 0.0000
Pb 2.5411 1.7329 2.5853
Pb 2.5411 5.0923 2.5853
O 0.8806 1.9759 0.9736
O 0.8806 4.8494 0.9736
O 1.2946 3.4126 3.9195
O 1.5848 0.0000 3.5902
O 3.4974 0.0000 1.5805
O 3.7875 3.4126 1.2512
O 4.2015 1.9759 4.1971
O 4.2015 4.8494 4.1971
```

Main lines, sorted by position (2θ = 10–90°):
- 24.17 deg, I 55
- 24.56 deg, I 55
- 31.42 deg, I 100
- 34.73 deg, I 32
- 47.31 deg, I 37
- 47.74 deg, I 39

No. 12
Diffraction record for NdScPb. The powder diffraction line list is simulated, not measured: it uses the GGA-PBE geometry in Alexandria and Cu Kα.
Peak positions follow from Bragg's law for the DFT cell and can differ from measured ones.

Structural model:
```
6
Lattice="4.5441 0.0000 0.0000 0.0000 4.5441 0.0000 0.0000 0.0000 8.4445" Properties=species:S:1:pos:R:3 pbc="T T T"
Nd 1.1360 1.1360 1.2960
Nd 3.4081 3.4081 7.1485
Sc 1.1360 3.4081 4.2223
Sc 3.4081 1.1360 4.2223
Pb 1.1360 1.1360 6.3616
Pb 3.4081 3.4081 2.0829
```

Main lines, sorted by position (2θ = 10–90°):
- 21.04 deg, I 43
- 27.76 deg, I 93
- 35.10 deg, I 100
- 37.59 deg, I 53
- 39.67 deg, I 62
- 55.79 deg, I 35